[1]
Li2ReTe: theoretical XRD peak list (Cu Kα (weighted mean of Kα1 and Kα2)), based on a DFT-relaxed cell (PBE, Alexandria).
Lines closer than 0.1° are merged.

Largest 6 diffraction maxima, by angle, 5 to 70 degrees two-theta:
| 2θ (°) | I (rel.) |
| --- | --- |
| 15.14 | 1000 |
| 30.50 | 548 |
| 37.55 | 403 |
| 40.74 | 968 |
| 54.28 | 195 |
| 69.94 | 252 |

Crystal structure
```
4
Lattice="3.387 0.000 0.000 0.000 3.387 0.000 0.000 0.000 5.850" Properties=species:S:1:pos:R:3 pbc="T T T"
Li 0.000 0.000 0.000
Li 1.694 1.694 1.363
Re 0.000 0.000 2.854
Te 1.694 1.694 4.136
```

***

[2]
La3PmAl8: theoretical XRD peak list (Cu Kα (weighted mean of Kα1 and Kα2)), based on a DFT-relaxed cell (PBE, Alexandria).
Lines closer than 0.1° are merged.

Largest 6 diffraction maxima, by angle, 5 to 70 degrees two-theta:
| 2θ (°) | I (rel.) |
| --- | --- |
| 17.89 | 361 |
| 31.25 | 726 |
| 33.79 | 1000 |
| 36.74 | 672 |
| 37.52 | 331 |
| 57.25 | 421 |

Crystal structure
```
12
Lattice="5.725 0.000 0.000 -2.862 4.958 0.000 0.000 0.000 9.421" Properties=species:S:1:pos:R:3 pbc="T T T"
La 0.000 0.000 0.000
La 0.000 0.000 3.407
La 0.000 3.305 8.143
Pm 0.000 3.305 4.704
Al -1.391 2.502 1.726
Al 1.393 0.804 6.388
Al 1.391 2.502 1.726
Al 0.000 4.911 1.726
Al 2.862 1.653 4.063
Al 2.862 1.653 8.750
Al 4.332 0.804 6.388
Al 2.862 3.350 6.388
```

***

[3]
Pa3Co2P3: theoretical XRD peak list (Cu Kα (weighted mean of Kα1 and Kα2)), based on a DFT-relaxed cell (PBE, Alexandria).
Lines closer than 0.1° are merged.

Largest 6 diffraction maxima, by angle, 5 to 70 degrees two-theta:
| 2θ (°) | I (rel.) |
| --- | --- |
| 25.17 | 327 |
| 26.22 | 685 |
| 35.49 | 667 |
| 35.99 | 1000 |
| 40.27 | 360 |
| 46.28 | 296 |

Crystal structure
```
16
Lattice="1.962 -5.116 0.000 1.962 5.116 0.000 0.000 0.000 13.630" Properties=species:S:1:pos:R:3 pbc="T T T"
Pa 1.962 4.373 8.310
Pa 1.962 4.373 12.135
Pa 1.962 1.411 10.223
Pa 1.962 -1.411 3.408
Pa 1.962 -4.373 1.495
Pa 1.962 -4.373 5.320
Co 1.962 2.851 1.410
Co 1.962 2.851 5.405
Co 1.962 -2.851 8.225
Co 1.962 -2.851 12.220
P 1.962 1.543 3.408
P 1.962 1.406 7.411
P 1.962 1.406 13.034
P 1.962 -1.406 0.596
P 1.962 -1.406 6.219
P 1.962 -1.543 10.223
```